For MgSbPd2, a crystal structure in the Materials Project, relaxed with PBE gives the computed powder diffraction line list in this record (Cu Kα).

Structural model:
Cell lengths 4.633, 4.633, 4.633 Å; angles 60.00, 60.00, 60.00 degrees
Element x y z (fractional)
Mg: 0.000 0.000 0.000
Sb: 0.500 0.500 0.500
Pd: 0.250 0.250 0.250
Pd: 0.750 0.750 0.750

Most intense lines, 2θ from 5° to 70°, by angle:
d (Å), Position (°2θ), I_rel
3.783, 23.52, 17
3.276, 27.22, 5
2.317, 38.87, 100
1.976, 45.93, 9
1.892, 48.10, 1
1.638, 56.15, 17
1.503, 61.70, 3
1.465, 63.49, 2